# 1
Calculated X-ray powder pattern
Compound: Sm2Ho8Er3
Radiation: λ = 1.5418 Å (Cu Kα)
Structure: a DFT-relaxed cell (GGA-PBE, Alexandria)
Peak positions follow from Bragg's law for the DFT cell and can differ from measured ones.

Top 12 peaks for 15° ≤ 2θ ≤ 90°, by angle:
29.7 deg, d 3.003, I = 610
30.8 deg, d 2.899, I = 494
31.4 deg, d 2.851, I = 1000
32.1 deg, d 2.792, I = 801
33.4 deg, d 2.682, I = 467
33.9 deg, d 2.641, I = 921
40.2 deg, d 2.243, I = 180
51.7 deg, d 1.769, I = 289
55.2 deg, d 1.665, I = 232
61.1 deg, d 1.516, I = 194
61.4 deg, d 1.510, I = 153
62.1 deg, d 1.495, I = 243

a = 12.1631 Å, b = 19.2465 Å, c = 3.5394 Å
α = 90.00°, β = 90.00°, γ = 90.00°
Fractional positions:
Sm 0.1668 0.1299 0.0000
Sm 0.3332 0.6299 0.0000
Sm 0.6668 0.3701 0.0000
Sm 0.8332 0.8701 0.0000
Ho 0.0159 0.5833 0.0000
Ho 0.1228 0.8636 0.0000
Ho 0.1496 0.2988 0.5000
Ho 0.2101 0.4816 0.5000
Ho 0.2899 0.9816 0.5000
Ho 0.3504 0.7988 0.5000
Ho 0.3772 0.3636 0.0000
Ho 0.4841 0.0833 0.0000
Ho 0.5159 0.9167 0.0000
Ho 0.6228 0.6364 0.0000
Ho 0.6496 0.2012 0.5000
Ho 0.7101 0.0184 0.5000
Ho 0.7899 0.5184 0.5000
Ho 0.8504 0.7012 0.5000
Ho 0.8772 0.1364 0.0000
Ho 0.9841 0.4167 0.0000
Er 0.0000 0.0000 0.5000
Er 0.1236 0.7120 0.5000
Er 0.3764 0.2120 0.5000
Er 0.5000 0.5000 0.5000
Er 0.6236 0.7880 0.5000
Er 0.8764 0.2880 0.5000

# 2
Calculated X-ray powder pattern
Compound: Cs4K5Hg2
Radiation: λ = 1.5418 Å (Cu Kα)
Structure: a DFT-relaxed cell (GGA-PBE, Alexandria)
Peak positions follow from Bragg's law for the DFT cell and can differ from measured ones.

Top 12 peaks for 15° ≤ 2θ ≤ 90°, by angle:
20.4 deg, d 4.345, I = 197
23.1 deg, d 3.850, I = 1000
23.7 deg, d 3.750, I = 296
24.2 deg, d 3.678, I = 255
24.4 deg, d 3.648, I = 278
26.2 deg, d 3.398, I = 277
26.8 deg, d 3.322, I = 452
28.6 deg, d 3.117, I = 212
29.1 deg, d 3.073, I = 191
31.4 deg, d 2.849, I = 199
35.6 deg, d 2.523, I = 224
43.5 deg, d 2.080, I = 223

a = 11.9244 Å, b = 5.0457 Å, c = 13.2889 Å
α = 90.00°, β = 94.23°, γ = 90.00°
Fractional positions:
Cs 0.1741 0.0000 0.3223
Cs 0.2023 0.0000 0.9552
Cs 0.7977 0.0000 0.0448
Cs 0.8259 0.0000 0.6777
K 0.1598 0.5000 0.6456
K 0.4835 0.5000 0.1711
K 0.5000 0.5000 0.5000
K 0.5165 0.5000 0.8289
K 0.8402 0.5000 0.3544
Hg 0.0336 0.5000 0.1187
Hg 0.9664 0.5000 0.8813

# 3
Calculated X-ray powder pattern
Compound: Tb3Zr3NpN8
Radiation: λ = 1.5418 Å (Cu Kα)
Structure: a DFT-relaxed cell (GGA-PBE, Alexandria)
Peak positions follow from Bragg's law for the DFT cell and can differ from measured ones.

Top 12 peaks for 15° ≤ 2θ ≤ 90°, by angle:
16.2 deg, d 5.462, I = 607
30.8 deg, d 2.905, I = 128
31.2 deg, d 2.865, I = 240
32.0 deg, d 2.801, I = 346
32.8 deg, d 2.731, I = 954
37.8 deg, d 2.380, I = 1000
54.0 deg, d 1.699, I = 341
55.1 deg, d 1.667, I = 327
64.1 deg, d 1.452, I = 153
65.1 deg, d 1.433, I = 287
65.6 deg, d 1.423, I = 139
68.7 deg, d 1.366, I = 163

a = 6.7973 Å, b = 6.7973 Å, c = 6.7973 Å
α = 58.76°, β = 58.76°, γ = 58.76°
Fractional positions:
Tb 0.0000 0.5000 0.5000
Tb 0.5000 0.0000 0.5000
Tb 0.5000 0.5000 0.0000
Zr 0.0000 0.0000 0.5000
Zr 0.0000 0.5000 0.0000
Zr 0.5000 0.0000 0.0000
Np 0.5000 0.5000 0.5000
N 0.2444 0.2444 0.2444
N 0.2531 0.7303 0.7303
N 0.2697 0.2697 0.7469
N 0.2697 0.7469 0.2697
N 0.7303 0.2531 0.7303
N 0.7303 0.7303 0.2531
N 0.7469 0.2697 0.2697
N 0.7556 0.7556 0.7556

# 4
Calculated X-ray powder pattern
Compound: Sr2Ca2GaCu3O9
Radiation: λ = 1.5418 Å (Cu Kα)
Structure: a DFT-relaxed cell (GGA-PBE, Alexandria)
Peak positions follow from Bragg's law for the DFT cell and can differ from measured ones.

Top 12 peaks for 15° ≤ 2θ ≤ 90°, by angle:
23.9 deg, d 3.723, I = 74
29.4 deg, d 3.038, I = 205
32.8 deg, d 2.731, I = 305
33.2 deg, d 2.696, I = 327
33.5 deg, d 2.674, I = 1000
38.2 deg, d 2.355, I = 249
42.4 deg, d 2.131, I = 75
47.4 deg, d 1.919, I = 413
59.0 deg, d 1.565, I = 160
59.6 deg, d 1.552, I = 183
75.9 deg, d 1.254, I = 91
79.2 deg, d 1.209, I = 102

a = 15.4006 Å, b = 15.4006 Å, c = 15.4006 Å
α = 28.86°, β = 159.57°, γ = 159.84°
Fractional positions:
Sr 0.0134 0.1724 0.1858
Sr 0.0134 0.3276 0.3410
Sr 0.9866 0.6724 0.6590
Sr 0.9866 0.8276 0.8142
Ca 0.0003 0.0580 0.0546
Ca 0.0003 0.4457 0.4423
Ca 0.0034 0.5580 0.5577
Ca 0.0034 0.9457 0.9454
Ga 0.3873 0.7079 0.1794
Ga 0.5286 0.2079 0.8206
Cu 0.5019 0.0019 0.5000
Cu 0.5024 0.1150 0.6128
Cu 0.5024 0.3896 0.8874
Cu 0.5019 0.5019 0.0000
Cu 0.5022 0.6150 0.1126
Cu 0.5022 0.8896 0.3872
O 0.0019 0.2527 0.7508
O 0.0024 0.3602 0.8573
O 0.0024 0.6451 0.1422
O 0.0019 0.7511 0.2492
O 0.0026 0.1460 0.6466
O 0.0026 0.8559 0.3566
O 0.2163 0.8550 0.8613
O 0.4842 0.2169 0.6522
O 0.4842 0.3320 0.7673
O 0.4993 0.3559 0.3534
O 0.4993 0.6460 0.6434
O 0.5019 0.2511 0.2492
O 0.5019 0.7527 0.7508
O 0.5029 0.1451 0.1427
O 0.5029 0.8602 0.8578
O 0.5647 0.7169 0.2327
O 0.5647 0.8320 0.3478
O 0.9936 0.3550 0.1387

# 5
Calculated X-ray powder pattern
Compound: Pr2TlCd3
Radiation: λ = 1.5418 Å (Cu Kα)
Structure: a DFT-relaxed cell (GGA-PBE, Alexandria)
Peak positions follow from Bragg's law for the DFT cell and can differ from measured ones.

Top 12 peaks for 15° ≤ 2θ ≤ 90°, by angle:
24.4 deg, d 3.647, I = 72
31.9 deg, d 2.807, I = 1000
35.4 deg, d 2.538, I = 839
43.4 deg, d 2.083, I = 92
48.3 deg, d 1.883, I = 310
50.0 deg, d 1.824, I = 104
61.3 deg, d 1.512, I = 301
62.7 deg, d 1.481, I = 310
63.5 deg, d 1.465, I = 149
74.8 deg, d 1.269, I = 92
83.6 deg, d 1.156, I = 126
84.9 deg, d 1.142, I = 135

a = 10.1543 Å, b = 9.5213 Å, c = 6.2501 Å
α = 77.08°, β = 66.05°, γ = 36.86°
Fractional positions:
Pr 0.2485 0.7515 0.7515
Pr 0.2500 0.2500 0.2500
Pr 0.7500 0.7500 0.7500
Pr 0.7515 0.2485 0.2485
Tl 0.3335 0.3335 0.6665
Tl 0.6665 0.6665 0.3335
Cd 0.1645 0.1645 0.8355
Cd 0.1652 0.6706 0.3294
Cd 0.3294 0.8348 0.1652
Cd 0.6706 0.1652 0.8348
Cd 0.8348 0.3294 0.6706
Cd 0.8355 0.8355 0.1645

# 6
Calculated X-ray powder pattern
Compound: ZnAg4Au2
Radiation: λ = 1.5418 Å (Cu Kα)
Structure: a DFT-relaxed cell (GGA-PBE, Alexandria)
Peak positions follow from Bragg's law for the DFT cell and can differ from measured ones.

Top 12 peaks for 15° ≤ 2θ ≤ 90°, by angle:
37.3 deg, d 2.408, I = 731
38.0 deg, d 2.370, I = 670
38.0 deg, d 2.365, I = 687
38.2 deg, d 2.358, I = 678
42.5 deg, d 2.125, I = 1000
46.9 deg, d 1.938, I = 359
61.1 deg, d 1.516, I = 177
62.4 deg, d 1.489, I = 167
64.7 deg, d 1.441, I = 137
64.8 deg, d 1.439, I = 135
73.9 deg, d 1.282, I = 187
75.0 deg, d 1.266, I = 178

a = 5.7824 Å, b = 6.6335 Å, c = 7.5171 Å
α = 108.70°, β = 109.10°, γ = 100.12°
Fractional positions:
Zn 0.0000 0.0000 0.0000
Zn 0.4005 0.8587 0.3090
Ag 0.0948 0.5928 0.8889
Ag 0.1573 0.1454 0.7320
Ag 0.2370 0.7095 0.5750
Ag 0.4563 0.4429 0.1588
Ag 0.5051 0.9980 0.0166
Ag 0.5777 0.5661 0.8568
Ag 0.6501 0.1396 0.7226
Ag 0.8832 0.8513 0.2854
Au 0.2957 0.2521 0.4152
Au 0.7455 0.7236 0.5902
Au 0.8138 0.2883 0.4489
Au 0.9450 0.4117 0.1470

# 7
Calculated X-ray powder pattern
Compound: ZnCu4Sn
Radiation: λ = 1.5418 Å (Cu Kα)
Structure: a DFT-relaxed cell (GGA-PBE, Alexandria)
Peak positions follow from Bragg's law for the DFT cell and can differ from measured ones.

Top 12 peaks for 15° ≤ 2θ ≤ 90°, by angle:
30.0 deg, d 2.978, I = 121
32.3 deg, d 2.774, I = 77
35.1 deg, d 2.558, I = 91
38.8 deg, d 2.321, I = 259
41.6 deg, d 2.173, I = 345
42.4 deg, d 2.134, I = 1000
44.6 deg, d 2.033, I = 156
58.2 deg, d 1.586, I = 153
72.7 deg, d 1.301, I = 74
76.3 deg, d 1.248, I = 96
76.5 deg, d 1.246, I = 97
81.2 deg, d 1.184, I = 56

a = 9.2091 Å, b = 9.2091 Å, c = 4.3465 Å
α = 103.51°, β = 103.51°, γ = 29.19°
Fractional positions:
Zn 0.0000 0.5000 0.0000
Zn 0.5000 0.0000 0.5000
Cu 0.0743 0.7202 0.1462
Cu 0.1428 0.5197 0.5804
Cu 0.2798 0.9257 0.3538
Cu 0.4803 0.8572 0.9196
Cu 0.5197 0.1428 0.0804
Cu 0.7202 0.0743 0.6462
Cu 0.8572 0.4803 0.4196
Cu 0.9257 0.2798 0.8538
Sn 0.2770 0.7230 0.7500
Sn 0.7230 0.2770 0.2500

# 8
Calculated X-ray powder pattern
Compound: TmHfS3
Radiation: λ = 1.5418 Å (Cu Kα)
Structure: a DFT-relaxed cell (GGA-PBE, Alexandria)
Peak positions follow from Bragg's law for the DFT cell and can differ from measured ones.

Top 12 peaks for 15° ≤ 2θ ≤ 90°, by angle:
21.9 deg, d 4.051, I = 617
27.5 deg, d 3.244, I = 1000
35.9 deg, d 2.503, I = 624
42.1 deg, d 2.147, I = 573
42.5 deg, d 2.129, I = 449
44.7 deg, d 2.025, I = 115
51.6 deg, d 1.770, I = 216
56.8 deg, d 1.622, I = 193
58.6 deg, d 1.574, I = 206
59.5 deg, d 1.554, I = 248
68.7 deg, d 1.366, I = 268
70.7 deg, d 1.333, I = 118

a = 3.5397 Å, b = 3.5397 Å, c = 8.1014 Å
α = 90.00°, β = 90.00°, γ = 90.00°
Fractional positions:
Tm 0.0000 0.0000 0.0000
Hf 0.5000 0.5000 0.5000
S 0.0000 0.0000 0.5000
S 0.5000 0.5000 0.1807
S 0.5000 0.5000 0.8193